Calculated XRD peak list
Compound: AcBi2
Radiation: Cu Kα, 1.54184 Å
Structure: a PBE-relaxed structure

Structural model:
```
data_AcBi2
_chemical_formula_sum 'Ac8 Bi16'
_space_group_name_H-M_alt 'C m c e'
_space_group_IT_number 64
_space_group_name_Hall '-C 2ac 2'
_cell_length_a 6.7970
_cell_length_b 6.6965
_cell_length_c 19.1257
_cell_angle_alpha 90.00
_cell_angle_beta 90.00
_cell_angle_gamma 90.00
loop_
_atom_site_label
_atom_site_fract_x
_atom_site_fract_y
_atom_site_fract_z
Ac1 0.0000 0.1353 0.1067
Bi1 0.0000 0.1310 0.4329
Bi2 0.2500 0.1313 0.7500
```

Top 10 peaks for 10° ≤ 2θ ≤ 90°, in order of rising 2θ:
(2 0 2), 2θ 27.9, rel. 52.6; (0 0 6), 2θ 28.0, rel. 44.5; (0 2 3), 2θ 30.1, rel. 100.0; (2 0 4), 2θ 32.3, rel. 42.6; (1 1 6), 2θ 33.8, rel. 19.0; (2 2 1), 2θ 38.0, rel. 60.6; (2 2 5), 2θ 44.8, rel. 22.1; (2 2 7), 2θ 50.8, rel. 30.0; (0 4 6), 2θ 62.6, rel. 20.4; (4 2 3), 2θ 63.1, rel. 25.8